BeSiCl: computed X-ray powder pattern (Cu Kα (λ = 1.5418 Å)), based on a structure optimized by DFT (PBE).
Lines closer than 0.1° are merged.

Top 10 peaks for 15° ≤ 2θ ≤ 90°, sorted by position:
2θ 16.4, I = 46, hkl 2 0 -1; 2θ 25.8, I = 100, hkl 2 0 -2; 2θ 27.4, I = 43, hkl 1 1 -1; 2θ 28.7, I = 34, hkl 2 0 1; 2θ 30.0, I = 30, hkl 0 0 2; 2θ 32.2, I = 78, hkl 1 1 1; 2θ 33.6, I = 67, hkl 3 1 -1; 2θ 46.5, I = 38, hkl 3 1 -3; 2θ 49.4, I = 22, hkl 0 2 0; 2θ 52.3, I = 34, hkl 5 1 0

Atomic structure:
```
BeSiCl
1.0
11.5568 0.0000 0.0000
0.0000 3.6917 0.0000
-3.5531 0.0000 5.9507
Be Si Cl
4 4 4
Direct
0.1052 0.0000 0.2129
0.3948 0.5000 0.7871
0.6052 0.5000 0.2129
0.8948 0.0000 0.7871
0.1807 0.5000 0.4811
0.3193 0.0000 0.5189
0.6807 0.0000 0.4811
0.8193 0.5000 0.5189
0.0973 0.0000 0.9125
0.4027 0.5000 0.0875
0.5973 0.5000 0.9125
0.9027 0.0000 0.0875
```